The following is a computed powder diffractogram of Tm4CoNi. It was derived from a crystal structure in Alexandria, relaxed with PBE, using Cu Kα (λ = 1.5418 Å).
Intensities are scaled so that the largest is 100.

Most intense lines, 2θ = 10–90°, in order of rising 2θ:
d = 3.292 Å, 27.1°, intensity 38; d = 3.114 Å, 28.7°, intensity 46; d = 2.865 Å, 31.2°, intensity 100; d = 2.401 Å, 37.4°, intensity 80; d = 2.327 Å, 38.7°, intensity 27; d = 2.262 Å, 39.9°, intensity 88; d = 2.082 Å, 43.5°, intensity 31; d = 1.584 Å, 58.3°, intensity 31; d = 1.490 Å, 62.3°, intensity 33; d = 1.389 Å, 67.4°, intensity 30

Atomic structure:
abc: 7.7748 7.7748 7.7748
angles: 129.91 129.91 73.56
Atoms (fractional coordinates):
Tm 0.0527 0.5527 0.8667
Tm 0.1860 0.0527 0.5000
Tm 0.3140 0.8140 0.8667
Tm 0.4473 0.3140 0.5000
Tm 0.5527 0.6860 0.5000
Tm 0.6860 0.1860 0.1333
Tm 0.8140 0.9473 0.5000
Tm 0.9473 0.4473 0.1333
Co 0.2500 0.2500 0.0000
Co 0.7500 0.7500 0.0000
Ni 0.0000 0.0000 0.0000
Ni 0.5000 0.5000 0.0000

---

The following is a computed powder diffractogram of RbScS2O8. It was derived from a crystal structure in Alexandria, relaxed with PBE, using Cu Kα (λ = 1.5418 Å).
Intensities are scaled so that the largest is 100.

Most intense lines, 2θ = 10–90°, in order of rising 2θ:
d = 4.589 Å, 19.3°, intensity 39; d = 4.010 Å, 22.2°, intensity 100; d = 3.067 Å, 29.1°, intensity 97; d = 2.748 Å, 32.6°, intensity 13; d = 2.649 Å, 33.8°, intensity 51; d = 2.229 Å, 40.5°, intensity 12; d = 2.005 Å, 45.2°, intensity 39; d = 1.880 Å, 48.4°, intensity 17; d = 1.627 Å, 56.6°, intensity 15; d = 1.599 Å, 57.7°, intensity 22

Atomic structure:
abc: 5.2989 5.2989 8.2453
angles: 90.00 90.00 120.00
Atoms (fractional coordinates):
Rb 0.0000 0.0000 0.0000
Sc 0.0000 0.0000 0.5000
S 0.3333 0.6667 0.7167
S 0.6667 0.3333 0.2833
O 0.1810 0.3620 0.6531
O 0.1810 0.8190 0.6531
O 0.3333 0.6667 0.8932
O 0.3620 0.1810 0.3469
O 0.6380 0.8190 0.6531
O 0.6667 0.3333 0.1068
O 0.8190 0.1810 0.3469
O 0.8190 0.6380 0.3469

---

The following is a computed powder diffractogram of TcMoIr. It was derived from a crystal structure in Alexandria, relaxed with PBE, using Cu Kα (λ = 1.5418 Å).
Intensities are scaled so that the largest is 100.

Most intense lines, 2θ = 10–90°, in order of rising 2θ:
d = 3.985 Å, 22.3°, intensity 26; d = 2.424 Å, 37.1°, intensity 43; d = 2.403 Å, 37.4°, intensity 28; d = 2.210 Å, 40.8°, intensity 70; d = 2.131 Å, 42.4°, intensity 100; d = 2.121 Å, 42.6°, intensity 98; d = 2.111 Å, 42.8°, intensity 87; d = 1.627 Å, 56.5°, intensity 28; d = 1.391 Å, 67.3°, intensity 32; d = 1.256 Å, 75.7°, intensity 32

Atomic structure:
abc: 8.4244 4.8057 5.2209
angles: 90.00 122.15 90.00
Atoms (fractional coordinates):
Tc 0.1679 0.0000 0.4908
Tc 0.3321 0.5000 0.5092
Tc 0.6679 0.5000 0.4908
Tc 0.8321 0.0000 0.5092
Mo 0.1603 0.8393 0.9763
Mo 0.3397 0.3393 0.0237
Mo 0.6603 0.3393 0.9763
Mo 0.8397 0.8393 0.0237
Ir 0.0000 0.3389 0.0000
Ir 0.0000 0.4928 0.5000
Ir 0.5000 0.8389 0.0000
Ir 0.5000 0.9928 0.5000

---

The following is a computed powder diffractogram of Na3ClF. It was derived from a crystal structure in Alexandria, relaxed with PBE, using Cu Kα (λ = 1.5418 Å).
Intensities are scaled so that the largest is 100.

Most intense lines, 2θ = 10–90°, in order of rising 2θ:
d = 3.390 Å, 26.3°, intensity 35; d = 2.768 Å, 32.3°, intensity 99; d = 2.397 Å, 37.5°, intensity 100; d = 1.957 Å, 46.4°, intensity 10; d = 1.695 Å, 54.1°, intensity 61; d = 1.446 Å, 64.5°, intensity 35; d = 1.384 Å, 67.7°, intensity 19; d = 1.281 Å, 74.0°, intensity 4; d = 1.199 Å, 80.1°, intensity 8; d = 1.100 Å, 89.0°, intensity 13

Atomic structure:
abc: 4.7942 4.7942 4.7942
angles: 90.00 90.00 90.00
Atoms (fractional coordinates):
Na 0.0000 0.0000 0.5000
Na 0.0000 0.5000 0.0000
Na 0.5000 0.0000 0.0000
Cl 0.5000 0.5000 0.5000
F 0.0000 0.0000 0.0000

---

The following is a computed powder diffractogram of Ba2PuGeTe5. It was derived from a crystal structure in Alexandria, relaxed with PBE, using Cu Kα (λ = 1.5418 Å).
Intensities are scaled so that the largest is 100.

Most intense lines, 2θ = 10–90°, in order of rising 2θ:
d = 3.408 Å, 26.1°, intensity 13; d = 3.311 Å, 26.9°, intensity 49; d = 3.266 Å, 27.3°, intensity 100; d = 2.834 Å, 31.6°, intensity 47; d = 2.393 Å, 37.6°, intensity 35; d = 2.345 Å, 38.4°, intensity 11; d = 2.019 Å, 44.9°, intensity 22; d = 1.939 Å, 46.9°, intensity 22; d = 1.502 Å, 61.8°, intensity 11; d = 1.452 Å, 64.1°, intensity 11

Atomic structure:
abc: 10.5101 10.5101 13.7400
angles: 90.00 90.00 153.69
Atoms (fractional coordinates):
Ba 0.1197 0.8803 0.5000
Ba 0.1209 0.8791 0.1347
Ba 0.8791 0.1209 0.6347
Ba 0.8803 0.1197 0.0000
Pu 0.2061 0.7939 0.8357
Pu 0.7939 0.2061 0.3357
Ge 0.4387 0.5613 0.2567
Ge 0.5613 0.4387 0.7567
Te 0.0479 0.9521 0.8528
Te 0.2960 0.7040 0.4830
Te 0.3146 0.6854 0.1823
Te 0.3561 0.6439 0.8189
Te 0.4981 0.5019 0.0841
Te 0.5019 0.4981 0.5841
Te 0.6439 0.3561 0.3189
Te 0.6854 0.3146 0.6823
Te 0.7040 0.2960 0.9830
Te 0.9521 0.0479 0.3528

---

The following is a computed powder diffractogram of PmY3Er8. It was derived from a crystal structure in Alexandria, relaxed with PBE, using Cu Kα (λ = 1.5418 Å).
Intensities are scaled so that the largest is 100.

Most intense lines, 2θ = 10–90°, in order of rising 2θ:
d = 6.124 Å, 14.5°, intensity 53; d = 3.664 Å, 24.3°, intensity 98; d = 3.436 Å, 25.9°, intensity 65; d = 3.062 Å, 29.2°, intensity 82; d = 2.824 Å, 31.7°, intensity 82; d = 2.696 Å, 33.2°, intensity 96; d = 2.464 Å, 36.5°, intensity 90; d = 2.076 Å, 43.6°, intensity 52; d = 2.022 Å, 44.8°, intensity 100; d = 1.346 Å, 69.9°, intensity 33

Atomic structure:
abc: 8.3302 8.3302 8.3302
angles: 117.36 117.36 94.64
Atoms (fractional coordinates):
Pm 0.0000 0.0000 0.0000
Y 0.2500 0.7500 0.5000
Y 0.5000 0.5000 0.0000
Y 0.7500 0.2500 0.5000
Er 0.1185 0.1185 0.7470
Er 0.2320 0.2320 0.4886
Er 0.2567 0.7680 0.0000
Er 0.3714 0.3714 0.2530
Er 0.6286 0.8815 0.0000
Er 0.7433 0.7433 0.5114
Er 0.7680 0.2567 0.0000
Er 0.8815 0.6286 0.0000